No. 1
Ac2Pm2AlGe4: theoretical X-ray diffraction stick pattern (Cu Kα X-rays), based on the PBE geometry in Alexandria.
Intensities are scaled so that the largest is 100.

```
9
Lattice="-3.6544 3.6544 4.5199 3.6544 -3.6544 4.5199 3.6544 3.6544 -4.5199" Properties=species:S:1:pos:R:3 pbc="T T T"
Ac 3.6544 0.0000 2.2600
Ac 0.0000 3.6544 2.2600
Pm 0.0000 0.0000 1.6373
Pm 0.0000 0.0000 7.4026
Al 0.0000 0.0000 4.5199
Ge 1.8520 1.8520 0.0000
Ge 1.8023 -1.8023 4.5199
Ge -1.8023 1.8023 4.5199
Ge 1.8023 1.8023 4.5199
```

Peak list (12 most intense, 2θ from 10° to 80°, low angle first)
24.36°, d = 3.654 Å, I = 24.3
26.19°, d = 3.402 Å, I = 14.7
31.48°, d = 2.842 Å, I = 100.0
32.13°, d = 2.786 Å, I = 11.6
34.72°, d = 2.584 Å, I = 53.2
40.73°, d = 2.215 Å, I = 11.2
43.72°, d = 2.071 Å, I = 10.7
49.91°, d = 1.827 Å, I = 19.1
53.90°, d = 1.701 Å, I = 14.1
56.99°, d = 1.616 Å, I = 10.0
60.21°, d = 1.537 Å, I = 31.7
75.29°, d = 1.262 Å, I = 10.6

No. 2
Ac2AlSiGe: theoretical X-ray diffraction stick pattern (Cu Kα X-rays), based on the PBE geometry in Alexandria.
Intensities are scaled so that the largest is 100.

```
10
Lattice="4.3284 0.0000 0.0000 0.0000 8.5190 0.0000 0.0000 0.0000 7.9106" Properties=species:S:1:pos:R:3 pbc="T T T"
Ac 1.0821 0.0925 1.8998
Ac 1.0821 4.1670 1.8998
Ac 3.2463 4.3520 6.0108
Ac 3.2463 8.4265 6.0108
Al 1.0821 2.1298 4.6715
Al 3.2463 6.3893 3.2391
Si 1.0821 6.3893 4.5155
Si 3.2463 2.1298 3.3951
Ge 1.0821 2.1298 7.1658
Ge 3.2463 6.3893 0.7448
```

Peak list (12 most intense, 2θ from 10° to 80°, low angle first)
20.85°, d = 4.260 Å, I = 24.2
22.48°, d = 3.955 Å, I = 32.2
23.43°, d = 3.797 Å, I = 55.7
30.85°, d = 2.898 Å, I = 50.2
31.56°, d = 2.834 Å, I = 100.0
40.04°, d = 2.252 Å, I = 32.7
41.74°, d = 2.164 Å, I = 15.1
42.44°, d = 2.130 Å, I = 13.6
45.57°, d = 1.991 Å, I = 13.4
49.04°, d = 1.858 Å, I = 15.0
52.79°, d = 1.734 Å, I = 22.8
59.76°, d = 1.547 Å, I = 19.4